Ba2SnSb3: computed powder diffractogram (λ = 1.5418 Å (Cu Kα)), based on DFT lattice parameters and positions (PBE).
Neutral-atom scattering factors, no anomalous dispersion.

The 8 most intense peaks (10 to 80 degrees two-theta), in order of rising 2θ:
2θ/deg  I_rel  hkl
26.80  100  1 1 4
27.21  73  2 1 0
28.63  30  2 1 2
29.96  75  1 1 5
34.63  68  0 2 0
35.56  27  0 0 8
36.52  66  3 1 1
60.37  29  5 1 4

Cell lengths 8.4646, 5.1805, 20.2078 Å; angles 90.00, 90.00, 90.00 degrees
Fractional coordinates of all 24 atoms:
Ba 0.1122 0.2500 0.0885
Ba 0.1215 0.2500 0.2978
Ba 0.3785 0.7500 0.7978
Ba 0.3878 0.7500 0.5885
Ba 0.6122 0.2500 0.4115
Ba 0.6215 0.2500 0.2022
Ba 0.8785 0.7500 0.7022
Ba 0.8878 0.7500 0.9115
Sn 0.0762 0.7500 0.4334
Sn 0.4238 0.2500 0.9334
Sn 0.5762 0.7500 0.0666
Sn 0.9238 0.2500 0.5666
Sb 0.0835 0.2500 0.8127
Sb 0.1899 0.2500 0.6774
Sb 0.2166 0.2500 0.4806
Sb 0.2834 0.7500 0.9806
Sb 0.3101 0.7500 0.1774
Sb 0.4165 0.7500 0.3127
Sb 0.5835 0.2500 0.6873
Sb 0.6899 0.2500 0.8226
Sb 0.7166 0.2500 0.0194
Sb 0.7834 0.7500 0.5194
Sb 0.8101 0.7500 0.3226
Sb 0.9165 0.7500 0.1873